Entry 1:
Diffraction record for PaTi2F11. The X-ray diffraction stick pattern is calculated, not measured: it uses a cell relaxed with PBE and copper Kα.
Peak positions follow from Bragg's law for the DFT cell and can differ from measured ones.

Main lines, by intensity (10° ≤ 2θ ≤ 80°):
two_theta, I_rel
22.27, 100
15.08, 62
24.64, 43
45.32, 21
41.24, 21
45.45, 19
49.48, 16
29.20, 15
34.71, 14
30.25, 14

Structural model:
```
PaTi2F11
1.0
-3.6978 4.8336 5.4398
3.6978 -4.8336 5.4398
3.6978 4.8336 -5.4398
Pa Ti F
2 4 22
direct
0.2500 0.2500 0.0000 Pa
0.7500 0.7500 0.0000 Pa
0.1795 0.6314 0.8109 Ti
0.3205 0.1314 0.4519 Ti
0.6795 0.8686 0.5481 Ti
0.8205 0.3686 0.1891 Ti
0.0000 0.5000 0.5000 F
0.0433 0.9569 0.2813 F
0.0616 0.3685 0.1634 F
0.1756 0.4569 0.9137 F
0.2051 0.8982 0.8366 F
0.2237 0.3646 0.5883 F
0.2763 0.8646 0.1408 F
0.2949 0.1315 0.6931 F
0.3244 0.2380 0.2813 F
0.4384 0.6018 0.3069 F
0.4567 0.7380 0.9137 F
0.5000 0.0000 0.5000 F
0.5433 0.2620 0.0863 F
0.5616 0.3982 0.6931 F
0.6756 0.7620 0.7187 F
0.7051 0.8685 0.3069 F
0.7237 0.1354 0.8592 F
0.7763 0.6354 0.4117 F
0.7949 0.1018 0.1634 F
0.8244 0.5431 0.0863 F
0.9384 0.6315 0.8366 F
0.9567 0.0431 0.7187 F
```



Entry 2:
Diffraction record for PaTl3F6. The X-ray diffraction stick pattern is calculated, not measured: it uses a cell relaxed with PBE and copper Kα.
Peak positions follow from Bragg's law for the DFT cell and can differ from measured ones.

Main lines, by intensity (10° ≤ 2θ ≤ 80°):
two_theta, I_rel
38.11, 100
30.06, 75
22.87, 48
11.38, 38
20.69, 36
32.24, 35
56.57, 32
17.22, 30
58.81, 24
53.38, 21

Structural model:
```
PaTl3F6
1.0
5.9456 0.0000 0.0000
-2.9728 5.1490 0.0000
0.0000 0.0000 7.7756
Pa Tl F
1 3 6
direct
0.0000 0.0000 0.0000 Pa
0.0000 0.0000 0.5000 Tl
0.3333 0.6667 0.5000 Tl
0.6667 0.3333 0.5000 Tl
0.0000 0.2836 0.8305 F
0.0000 0.7164 0.1695 F
0.2836 0.0000 0.8305 F
0.2836 0.2836 0.1695 F
0.7164 0.0000 0.1695 F
0.7164 0.7164 0.8305 F
```



Entry 3:
Diffraction record for PaTl6F12. The X-ray diffraction stick pattern is calculated, not measured: it uses a cell relaxed with PBE and copper Kα.
Peak positions follow from Bragg's law for the DFT cell and can differ from measured ones.

Main lines, by intensity (10° ≤ 2θ ≤ 80°):
two_theta, I_rel
24.13, 100
27.88, 49
39.96, 30
47.11, 24
23.94, 24
39.71, 22
41.38, 12
47.22, 12
18.92, 12
28.28, 11

Structural model:
```
PaTl6F12
1.0
5.9700 3.4468 3.7178
-5.9700 3.4468 3.7178
0.0000 -6.8935 3.7178
Pa Tl F
1 6 12
direct
0.0000 0.0000 0.0000 Pa
0.1590 0.3461 0.6055 Tl
0.3461 0.6055 0.1590 Tl
0.3945 0.8410 0.6539 Tl
0.6055 0.1590 0.3461 Tl
0.6539 0.3945 0.8410 Tl
0.8410 0.6539 0.3945 Tl
0.0200 0.9195 0.7340 F
0.0805 0.2660 0.9800 F
0.1915 0.5809 0.4239 F
0.2660 0.9800 0.0805 F
0.4191 0.5761 0.8085 F
0.4239 0.1915 0.5809 F
0.5761 0.8084 0.4191 F
0.5809 0.4239 0.1915 F
0.7340 0.0200 0.9195 F
0.8085 0.4191 0.5761 F
0.9195 0.7340 0.0200 F
0.9800 0.0805 0.2660 F
```



Entry 4:
Diffraction record for PaTl2F7. The X-ray diffraction stick pattern is calculated, not measured: it uses a cell relaxed with PBE and copper Kα.
Peak positions follow from Bragg's law for the DFT cell and can differ from measured ones.

Main lines, by intensity (10° ≤ 2θ ≤ 80°):
two_theta, I_rel
25.73, 100
25.86, 97
26.04, 54
44.50, 50
24.98, 49
36.40, 46
45.87, 39
45.68, 27
37.20, 25
45.33, 24

Structural model:
```
PaTl2F7
1.0
7.2418 -3.5642 0.0000
7.2418 3.5642 0.0000
-4.8673 0.0000 6.8517
Pa Tl F
2 4 14
direct
0.0338 0.9662 0.7500 Pa
0.9662 0.0338 0.2500 Pa
0.3119 0.3461 0.9053 Tl
0.3461 0.3119 0.4053 Tl
0.6539 0.6881 0.5947 Tl
0.6881 0.6539 0.0947 Tl
0.0472 0.2895 0.4935 F
0.0594 0.7997 0.9148 F
0.0958 0.6869 0.2020 F
0.2003 0.9406 0.5852 F
0.2895 0.0472 0.9935 F
0.3131 0.9042 0.2980 F
0.3484 0.6516 0.7500 F
0.6516 0.3484 0.2500 F
0.6869 0.0958 0.7020 F
0.7105 0.9528 0.0065 F
0.7997 0.0594 0.4148 F
0.9042 0.3131 0.7980 F
0.9406 0.2003 0.0852 F
0.9528 0.7105 0.5065 F
```



Entry 5:
Diffraction record for PaTl3F7. The X-ray diffraction stick pattern is calculated, not measured: it uses a cell relaxed with PBE and copper Kα.
Peak positions follow from Bragg's law for the DFT cell and can differ from measured ones.

Main lines, by intensity (10° ≤ 2θ ≤ 80°):
two_theta, I_rel
24.87, 100
23.35, 52
28.70, 50
25.73, 48
39.32, 35
42.35, 30
28.45, 24
46.91, 17
48.09, 16
40.65, 16

Structural model:
```
PaTl3F7
1.0
4.4615 -4.3600 0.0000
4.4615 4.3600 0.0000
-3.8244 0.0000 6.2735
Pa Tl F
1 3 7
direct
0.0000 0.0000 0.0000 Pa
0.2026 0.7086 0.4642 Tl
0.4562 0.4562 0.9617 Tl
0.7086 0.2026 0.4642 Tl
0.0916 0.0916 0.7661 F
0.3123 0.3123 0.1990 F
0.3116 0.8699 0.1975 F
0.6465 0.9917 0.7694 F
0.8458 0.8458 0.1624 F
0.8699 0.3116 0.1975 F
0.9917 0.6465 0.7694 F
```